Simulated X-ray diffraction stick pattern of NbOsN2O for Cu Ka, from a structure optimized by DFT (GGA-PBE).
No peak broadening, texture or thermal motion is included.

The 10 most intense peaks (2θ = 15–90°), sorted by position:
(hkl), 2θ/deg, I/Imax
0 0 1, 22.9, 9
1 0 0, 23.1, 19
1 0 1, 32.8, 100
1 1 0, 32.9, 52
0 0 2, 46.9, 14
2 0 0, 47.2, 27
1 1 2, 58.4, 21
2 1 1, 58.6, 39
2 0 2, 68.7, 16
3 1 0, 78.5, 17

Cell and atoms:
```
NbOsN2O
1.0
3.853 0.000 0.000
0.000 3.853 0.000
0.000 0.000 3.878
Nb Os N O
1 1 2 1
Direct
0.000 0.000 0.000
0.500 0.500 0.500
0.000 0.500 0.500
0.500 0.000 0.500
0.500 0.500 0.000
```